Structure and calculated X-ray diffraction stick pattern of Ca2In2P (a structure optimized by DFT (GGA-PBE); Cu Kα (weighted mean of Kα1 and Kα2)).
Lines closer than 0.1° are merged.

Most intense lines, 10° ≤ 2θ ≤ 90°, low angle first:
| Position (°2θ) | I_rel | index |
| --- | --- | --- |
| 16.84 | 16 | 1 1 0 |
| 18.17 | 29 | 0 0 1 |
| 26.78 | 18 | 2 1 0 |
| 32.55 | 100 | 2 1 1 |
| 36.81 | 19 | 0 0 2 |
| 38.24 | 23 | 3 1 0 |
| 42.64 | 12 | 3 1 1 |
| 46.10 | 9 | 2 1 2 |
| 47.84 | 7 | 3 2 1 |
| 54.13 | 22 | 3 1 2 |
| 63.63 | 13 | 2 1 3 |
| 70.85 | 13 | 5 2 1 |

Atomic structure:
Unit cell a=7.4436 b=7.4436 c=4.8831 alpha=90.00 beta=90.00 gamma=90.00
Atoms (fractional coordinates):
Ca (0.1686, 0.3314, 0.0000)
Ca (0.3314, 0.8314, 0.0000)
Ca (0.6686, 0.1686, 0.0000)
Ca (0.8314, 0.6686, 0.0000)
In (0.1387, 0.6387, 0.5000)
In (0.3613, 0.1387, 0.5000)
In (0.6387, 0.8613, 0.5000)
In (0.8613, 0.3613, 0.5000)
P (0.0000, 0.0000, 0.5000)
P (0.5000, 0.5000, 0.5000)